# Pm3PrNd5
Computed XRD peak list, CuKα. Input: a structure optimized by DFT (GGA-PBE).
Intensities are scaled so that the largest is 100.

Main lines, most intense first (2θ = 10–90°):
| index | Position (°2θ) | I (rel.) |
| --- | --- | --- |
| 5 1 -3 | 29.09 | 100 |
| 6 0 0 | 30.41 | 95 |
| 1 1 -3 | 28.42 | 88 |
| 1 1 3 | 33.20 | 65 |
| 2 2 0 | 30.24 | 51 |
| 2 2 -1 | 29.98 | 42 |
| 7 1 -3 | 34.41 | 34 |
| 4 0 4 | 50.77 | 29 |
| 5 1 -2 | 26.11 | 29 |
| 6 0 -4 | 32.59 | 28 |

Cell and atoms:
a b c (Å): 20.783 6.273 11.736
angles (deg): 90.00 121.94 90.00
Space group C2/c (No. 15)
One atom of each set of equivalent atoms:
Pm 0.000 0.000 0.000 x4
Pm 0.179 0.227 0.031 x8
Pr 0.000 0.112 0.750 x4
Nd 0.000 0.406 0.250 x4
Nd 0.140 0.317 0.649 x8
Nd 0.179 0.201 0.338 x8